Record 1
# BaSrIn2Pd
Computed powder X-ray diffraction pattern, Cu Kα (λ = 1.5418 Å). Input: a PBE-relaxed structure.

Main lines, in order of rising 2θ (2θ = 15–90°):
index, Position (°2θ), d_spacing, I/Imax
1 1 2, 28.6, 3.121, 97
1 0 3, 30.1, 2.964, 47
2 0 0, 32.8, 2.733, 100
0 0 4, 33.9, 2.646, 34
2 1 3, 45.1, 2.009, 31
2 2 0, 47.0, 1.932, 36
2 0 4, 47.9, 1.901, 50
3 1 2, 56.0, 1.643, 29
2 2 4, 59.2, 1.561, 26
4 2 4, 88.0, 1.109, 18

Structure:
a b c (Å): 5.465 5.465 10.585
angles (deg): 90.00 90.00 90.00
Space group I4mm (No. 107)
One atom of each set of equivalent atoms:
Ba (0.000, 0.000, 0.000) (multiplicity 2)
Sr (0.000, 0.000, 0.568) (multiplicity 2)
In (0.000, 0.500, 0.281) (multiplicity 4)
Pd (0.000, 0.000, 0.293) (multiplicity 2)

---

Record 2
# Ba2In3SnPt2
Computed powder X-ray diffraction pattern, Cu Kα (λ = 1.5418 Å). Input: a PBE-relaxed structure.

Main lines, in order of rising 2θ (2θ = 15–90°):
index, Position (°2θ), d_spacing, I/Imax
3 1 0, 29.9, 2.987, 30
1 1 2, 30.7, 2.916, 87
3 1 -1, 32.0, 2.799, 100
4 0 1, 32.2, 2.779, 60
3 1 2, 37.6, 2.394, 35
4 0 -2, 37.8, 2.382, 31
0 2 0, 39.5, 2.282, 53
1 1 -3, 39.9, 2.260, 67
3 1 -3, 45.6, 1.990, 29
4 2 -1, 51.8, 1.763, 31

Structure:
a b c (Å): 11.856 4.563 8.002
angles (deg): 90.00 90.09 90.00
Space group Cm (No. 8)
One atom of each set of equivalent atoms:
Ba (0.000, 0.000, 0.000) (multiplicity 2)
Ba (0.110, 0.000, 0.500) (multiplicity 2)
In (0.215, 0.500, 0.193) (multiplicity 2)
In (0.393, 0.000, 0.303) (multiplicity 2)
In (0.397, 0.000, 0.692) (multiplicity 2)
Sn (0.217, 0.500, 0.805) (multiplicity 2)
Pt (0.276, 0.000, 0.994) (multiplicity 2)
Pt (0.332, 0.500, 0.501) (multiplicity 2)

---

Record 3
# Ba2InTcS6
Computed powder X-ray diffraction pattern, Cu Kα (λ = 1.5418 Å). Input: a PBE-relaxed structure.

Main lines, in order of rising 2θ (2θ = 15–90°):
index, Position (°2θ), d_spacing, I/Imax
2 2 0, 25.4, 3.506, 100
2 2 2, 31.2, 2.863, 14
4 0 0, 36.2, 2.479, 53
4 2 2, 44.8, 2.024, 44
4 4 0, 52.2, 1.753, 35
6 2 0, 58.9, 1.568, 20
4 4 4, 65.2, 1.431, 12
6 4 2, 71.1, 1.325, 22
6 6 0, 82.5, 1.169, 11
8 4 0, 88.1, 1.109, 16

Structure:
a b c (Å): 9.917 9.917 9.917
angles (deg): 90.00 90.00 90.00
Space group Fm-3m (No. 225)
One atom of each set of equivalent atoms:
Ba (0.250, 0.250, 0.250) (multiplicity 8)
In (0.000, 0.000, 0.000) (multiplicity 4)
Tc (0.000, 0.000, 0.500) (multiplicity 4)
S (0.000, 0.000, 0.258) (multiplicity 24)

---

Record 4
# Ba2InTcS6
Computed powder X-ray diffraction pattern, Cu Kα (λ = 1.5418 Å). Input: a PBE-relaxed structure.

Main lines, in order of rising 2θ (2θ = 15–90°):
index, Position (°2θ), d_spacing, I/Imax
1 1 2, 25.1, 3.544, 100
2 0 0, 26.3, 3.390, 62
0 0 4, 34.1, 2.631, 34
2 2 0, 37.5, 2.397, 41
2 0 4, 43.5, 2.078, 31
3 1 2, 45.7, 1.985, 56
2 2 4, 51.6, 1.772, 31
2 4 0, 61.1, 1.516, 16
3 1 6, 69.2, 1.358, 17
2 4 4, 71.9, 1.314, 20

Structure:
a b c (Å): 6.780 6.780 10.523
angles (deg): 90.00 90.00 90.00
Space group I4/m (No. 87)
One atom of each set of equivalent atoms:
Ba (0.000, 0.500, 0.250) (multiplicity 4)
In (0.000, 0.000, 0.000) (multiplicity 2)
Tc (0.000, 0.000, 0.500) (multiplicity 2)
S (0.000, 0.000, 0.265) (multiplicity 4)
S (0.173, 0.693, 0.500) (multiplicity 8)

---

Record 5
# BaIn3Tc
Computed powder X-ray diffraction pattern, Cu Kα (λ = 1.5418 Å). Input: a PBE-relaxed structure.

Main lines, in order of rising 2θ (2θ = 15–90°):
index, Position (°2θ), d_spacing, I/Imax
1 1 1, 24.0, 3.710, 15
2 0 1, 29.6, 3.015, 100
0 0 2, 33.7, 2.661, 23
2 2 0, 34.7, 2.587, 76
1 0 2, 35.9, 2.501, 17
2 1 2, 43.8, 2.065, 19
2 2 2, 49.1, 1.855, 31
4 0 0, 49.8, 1.829, 27
4 2 1, 59.1, 1.564, 27
4 0 2, 61.5, 1.508, 16

Structure:
a b c (Å): 7.317 7.317 5.323
angles (deg): 90.00 90.00 90.00
Space group P4/nmm (No. 129, origin choice 2)
One atom of each set of equivalent atoms:
Ba (0.250, 0.750, 0.000) (multiplicity 2)
In (0.000, 0.000, 0.500) (multiplicity 4)
In (0.250, 0.250, 0.093) (multiplicity 2)
Tc (0.250, 0.250, 0.605) (multiplicity 2)

---

Record 6
# Ba2LiIrS6
Computed powder X-ray diffraction pattern, Cu Kα (λ = 1.5418 Å). Input: a PBE-relaxed structure.

Main lines, in order of rising 2θ (2θ = 15–90°):
index, Position (°2θ), d_spacing, I/Imax
1 1 0, 16.0, 5.549, 50
1 1 1, 26.2, 3.398, 100
4 0 -1, 30.9, 2.898, 29
2 2 0, 32.3, 2.774, 19
4 0 0, 37.4, 2.403, 55
2 0 -3, 40.9, 2.205, 13
4 2 0, 46.3, 1.962, 44
2 2 2, 54.0, 1.699, 37
5 1 1, 61.0, 1.520, 20
5 3 1, 73.8, 1.284, 23

Structure:
a b c (Å): 11.768 6.798 6.793
angles (deg): 90.00 125.24 90.00
Space group C2/m (No. 12)
One atom of each set of equivalent atoms:
Ba (0.250, 0.000, 0.250) (multiplicity 4)
Li (0.000, 0.000, 0.500) (multiplicity 2)
Ir (0.000, 0.500, 0.000) (multiplicity 2)
S (0.001, 0.254, 0.247) (multiplicity 8)
S (0.246, 0.500, 0.243) (multiplicity 4)

---

Record 7
# Ba2MgSi2Ir
Computed powder X-ray diffraction pattern, Cu Kα (λ = 1.5418 Å). Input: a PBE-relaxed structure.

Main lines, in order of rising 2θ (2θ = 15–90°):
index, Position (°2θ), d_spacing, I/Imax
1 0 1, 22.8, 3.895, 100
0 0 3, 26.4, 3.374, 32
1 0 2, 27.5, 3.241, 59
1 1 1, 31.3, 2.862, 40
1 0 3, 34.0, 2.635, 37
1 1 2, 34.9, 2.570, 98
1 0 4, 41.6, 2.170, 27
2 0 0, 42.9, 2.110, 39
2 1 1, 49.1, 1.855, 26
1 1 5, 54.8, 1.675, 33

Structure:
a b c (Å): 4.220 4.220 10.121
angles (deg): 90.00 90.00 90.00
Space group P-4m2 (No. 115)
One atom of each set of equivalent atoms:
Ba (0.000, 0.500, 0.206) (multiplicity 2)
Mg (0.500, 0.500, 0.500) (multiplicity 1)
Si (0.000, 0.500, 0.637) (multiplicity 2)
Ir (0.000, 0.000, 0.500) (multiplicity 1)

---

Record 8
# Ba2IrPtN2
Computed powder X-ray diffraction pattern, Cu Kα (λ = 1.5418 Å). Input: a PBE-relaxed structure.

Main lines, in order of rising 2θ (2θ = 15–90°):
index, Position (°2θ), d_spacing, I/Imax
0 1 2, 31.1, 2.875, 100
1 0 2, 31.4, 2.853, 98
1 1 0, 33.0, 2.716, 79
0 0 4, 42.0, 2.149, 24
0 2 0, 47.0, 1.934, 17
2 0 0, 47.7, 1.907, 16
1 1 4, 54.4, 1.685, 39
1 2 2, 57.6, 1.601, 35
2 1 2, 58.0, 1.589, 34
0 2 4, 64.9, 1.438, 13

Structure:
a b c (Å): 3.815 3.868 8.598
angles (deg): 90.00 90.00 90.00
Space group Pmmm (No. 47)
One atom of each set of equivalent atoms:
Ba (0.000, 0.000, 0.247) (multiplicity 2)
Ir (0.500, 0.500, 0.000) (multiplicity 1)
Pt (0.500, 0.500, 0.500) (multiplicity 1)
N (0.000, 0.500, 0.000) (multiplicity 1)
N (0.500, 0.000, 0.500) (multiplicity 1)

---

Record 9
# Ba3NdIr2O9
Computed powder X-ray diffraction pattern, Cu Kα (λ = 1.5418 Å). Input: a PBE-relaxed structure.

Main lines, in order of rising 2θ (2θ = 15–90°):
index, Position (°2θ), d_spacing, I/Imax
0 2 1, 18.2, 4.868, 18
1 1 -4, 29.5, 3.031, 20
0 2 4, 29.6, 3.014, 19
1 1 4, 29.8, 2.999, 18
2 0 0, 30.1, 2.969, 100
2 2 -4, 42.5, 2.127, 10
0 4 4, 42.8, 2.114, 10
2 2 4, 43.0, 2.105, 10
0 6 0, 53.4, 1.714, 23
2 6 0, 62.6, 1.485, 17

Structure:
a b c (Å): 5.944 10.276 14.885
angles (deg): 90.00 90.73 90.00
Space group C2/c (No. 15)
One atom of each set of equivalent atoms:
Ba (0.000, 0.000, 0.250) (multiplicity 4)
Ba (0.004, 0.334, 0.097) (multiplicity 8)
Nd (0.000, 0.000, 0.000) (multiplicity 4)
Ir (0.007, 0.334, 0.666) (multiplicity 8)
O (0.000, 0.494, 0.750) (multiplicity 4)
O (0.013, 0.177, 0.591) (multiplicity 8)
O (0.218, 0.409, 0.915) (multiplicity 8)
O (0.240, 0.255, 0.754) (multiplicity 8)
O (0.246, 0.411, 0.595) (multiplicity 8)

---

Record 10
# Ba4Ir3O10
Computed powder X-ray diffraction pattern, Cu Kα (λ = 1.5418 Å). Input: a PBE-relaxed structure.

Main lines, in order of rising 2θ (2θ = 15–90°):
index, Position (°2θ), d_spacing, I/Imax
1 1 -1, 18.1, 4.891, 32
0 4 0, 27.0, 3.302, 45
1 2 1, 28.5, 3.132, 87
2 2 -1, 28.8, 3.103, 97
1 0 -2, 31.1, 2.876, 100
1 3 1, 32.4, 2.767, 57
2 3 -1, 32.6, 2.747, 46
3 1 0, 40.8, 2.210, 35
1 4 -2, 41.6, 2.169, 46
3 5 0, 53.6, 1.710, 30

Structure:
a b c (Å): 7.282 13.208 5.753
angles (deg): 90.00 112.56 90.00
Space group P2_1/c (No. 14)
One atom of each set of equivalent atoms:
Ba (0.020, 0.114, 0.265) (multiplicity 4)
Ba (0.418, 0.137, 0.964) (multiplicity 4)
Ir (0.255, 0.650, 0.870) (multiplicity 4)
Ir (0.500, 0.000, 0.500) (multiplicity 2)
O (0.037, 0.155, 0.773) (multiplicity 4)
O (0.266, 0.726, 0.570) (multiplicity 4)
O (0.271, 0.525, 0.661) (multiplicity 4)
O (0.286, 0.539, 0.135) (multiplicity 4)
O (0.427, 0.151, 0.470) (multiplicity 4)

---

Record 11
# Ba2Ir3O9
Computed powder X-ray diffraction pattern, Cu Kα (λ = 1.5418 Å). Input: a PBE-relaxed structure.

Main lines, in order of rising 2θ (2θ = 15–90°):
index, Position (°2θ), d_spacing, I/Imax
2 1 1, 23.1, 3.845, 34
3 1 0, 30.0, 2.979, 100
3 2 1, 35.7, 2.517, 74
4 1 1, 40.6, 2.220, 22
4 2 2, 47.3, 1.923, 19
4 1 3, 49.3, 1.847, 41
5 0 3, 57.0, 1.615, 24
6 0 0, 58.8, 1.570, 34
5 3 2, 60.6, 1.528, 20
6 3 1, 67.4, 1.389, 18

Structure:
a b c (Å): 9.419 9.419 9.419
angles (deg): 90.00 90.00 90.00
Space group I23 (No. 197)
One atom of each set of equivalent atoms:
Ba (0.184, 0.184, 0.184) (multiplicity 8)
Ir (0.000, 0.344, 0.500) (multiplicity 12)
O (0.000, 0.000, 0.353) (multiplicity 12)
O (0.018, 0.342, 0.707) (multiplicity 24)

---

Record 12
# BaSrIr4O8
Computed powder X-ray diffraction pattern, Cu Kα (λ = 1.5418 Å). Input: a PBE-relaxed structure.

Main lines, in order of rising 2θ (2θ = 15–90°):
index, Position (°2θ), d_spacing, I/Imax
0 0 2, 21.6, 4.120, 36
1 0 2, 28.6, 3.118, 96
1 1 0, 32.5, 2.753, 100
2 -1 2, 39.4, 2.289, 28
0 0 4, 43.9, 2.063, 52
2 -1 4, 55.7, 1.650, 78
3 0 0, 58.0, 1.590, 24
2 2 0, 68.1, 1.377, 12
3 0 4, 75.5, 1.259, 33
2 2 4, 84.7, 1.145, 18

Structure:
a b c (Å): 5.5069 5.5069 8.2403
angles (deg): 90.00 90.00 120.00
Space group P-31m (No. 162)
One atom of each set of equivalent atoms:
Ba (0.0000, 0.0000, 0.0000) (multiplicity 1)
Sr (0.0000, 0.0000, 0.5000) (multiplicity 1)
Ir (0.3333, 0.6667, 0.2451) (multiplicity 4)
O (0.0000, 0.2977, 0.2818) (multiplicity 6)
O (0.3333, 0.6667, 0.0000) (multiplicity 2)